The following is a computed XRD peak list of Dy3ThRu3. It was derived from a structure optimized by DFT (GGA-PBE), using Cu Kα, 1.54184 Å.

Structure:
a = 9.5243 Å, b = 9.5243 Å, c = 6.0208 Å
α = 90.00°, β = 90.00°, γ = 120.00°
Space group R3m (No. 160, hexagonal axes)
Unique sites:
Dy: 0.0605 0.5303 0.0000 [9 per cell]
Th: 0.0000 0.0000 0.8799 [3 per cell]
Ru: 0.0066 0.5033 0.4694 [9 per cell]

Principal peaks in the range 10° ≤ 2θ ≤ 90°, in order of rising 2θ:
2θ = 26.2°, rel. 30, (0 2 1)
2θ = 31.6°, rel. 38, (0 1 2)
2θ = 32.3°, rel. 68, (2 1 1)
2θ = 32.6°, rel. 28, (3 0 0)
2θ = 37.0°, rel. 98, (2 0 2)
2θ = 37.8°, rel. 100, (2 2 0)
2θ = 42.3°, rel. 19, (1 3 1)
2θ = 53.9°, rel. 19, (0 4 2)
2θ = 56.8°, rel. 19, (0 3 3)
2θ = 57.5°, rel. 35, (2 3 2)
2θ = 64.8°, rel. 15, (5 1 1)
2θ = 67.7°, rel. 17, (4 2 2)

=====

The following is a computed XRD peak list of NaErSb2O8. It was derived from a structure optimized by DFT (GGA-PBE), using Cu Kα, 1.54184 Å.

Structure:
a = 5.8690 Å, b = 5.8690 Å, c = 6.9763 Å
α = 90.00°, β = 90.00°, γ = 120.00°
Space group P-3 (No. 147)
Unique sites:
Na: 0.0000 0.0000 0.0000 [1 per cell]
Er: 0.0000 0.0000 0.5000 [1 per cell]
Sb: 0.3333 0.6667 0.4643 [2 per cell]
O: 0.0538 0.3727 0.6267 [6 per cell]
O: 0.3333 0.6667 0.1813 [2 per cell]

Principal peaks in the range 10° ≤ 2θ ≤ 90°, in order of rising 2θ:
2θ = 12.7°, rel. 100, (0 0 1)
2θ = 25.5°, rel. 15, (0 0 2)
2θ = 30.5°, rel. 35, (1 1 0)
2θ = 33.1°, rel. 35, (2 -1 1)
2θ = 40.2°, rel. 29, (2 -1 2)
2θ = 50.0°, rel. 15, (2 -1 3)
2θ = 54.1°, rel. 10, (3 0 0)
2θ = 55.8°, rel. 12, (3 0 1)
2θ = 60.8°, rel. 8, (3 0 2)
2θ = 61.9°, rel. 7, (1 1 4)
2θ = 64.9°, rel. 5, (2 2 1)
2θ = 69.5°, rel. 6, (2 2 2)

=====

The following is a computed XRD peak list of Pu3Tc2Hg. It was derived from a structure optimized by DFT (GGA-PBE), using Cu Kα, 1.54184 Å.

Structure:
a = 3.269 Å, b = 3.269 Å, c = 12.071 Å
α = 90.00°, β = 90.00°, γ = 90.00°
Space group P4/mmm (No. 123)
Unique sites:
Pu: 0.000 0.000 0.000 [1 per cell]
Pu: 0.000 0.000 0.295 [2 per cell]
Tc: 0.500 0.500 0.147 [2 per cell]
Hg: 0.500 0.500 0.500 [1 per cell]

Principal peaks in the range 10° ≤ 2θ ≤ 90°, in order of rising 2θ:
2θ = 27.3°, rel. 9, (1 0 0)
2θ = 29.6°, rel. 9, (0 0 4)
2θ = 31.1°, rel. 14, (1 0 2)
2θ = 35.4°, rel. 100, (1 0 3)
2θ = 39.0°, rel. 49, (1 1 0)
2θ = 40.7°, rel. 11, (1 0 4)
2θ = 49.7°, rel. 9, (1 1 4)
2θ = 56.3°, rel. 17, (2 0 0)
2θ = 60.7°, rel. 10, (1 0 7)
2θ = 61.1°, rel. 9, (1 1 6)
2θ = 68.2°, rel. 30, (2 1 3)
2θ = 87.5°, rel. 8, (2 1 7)

=====

The following is a computed XRD peak list of HfTc2MoH. It was derived from a structure optimized by DFT (GGA-PBE), using Cu Kα, 1.54184 Å.

Structure:
a = 4.454 Å, b = 4.454 Å, c = 3.438 Å
α = 90.00°, β = 90.00°, γ = 90.00°
Space group P4/mmm (No. 123)
Unique sites:
Hf: 0.000 0.000 0.000 [1 per cell]
Tc: 0.000 0.500 0.500 [2 per cell]
Mo: 0.500 0.500 0.000 [1 per cell]
H: 0.500 0.500 0.500 [1 per cell]

Principal peaks in the range 10° ≤ 2θ ≤ 90°, in order of rising 2θ:
2θ = 19.9°, rel. 7, (1 0 0)
2θ = 28.3°, rel. 3, (1 1 0)
2θ = 32.9°, rel. 4, (1 0 1)
2θ = 38.8°, rel. 100, (1 1 1)
2θ = 40.5°, rel. 45, (2 0 0)
2θ = 53.1°, rel. 2, (2 1 1)
2θ = 53.3°, rel. 10, (0 0 2)
2θ = 58.6°, rel. 15, (2 2 0)
2θ = 69.0°, rel. 18, (2 0 2)
2θ = 72.5°, rel. 31, (3 1 1)
2θ = 83.2°, rel. 11, (2 2 2)
2θ = 87.6°, rel. 5, (4 0 0)

=====

The following is a computed XRD peak list of La3Pm2NdS6. It was derived from a structure optimized by DFT (GGA-PBE), using Cu Kα, 1.54184 Å.

Structure:
a = 7.096 Å, b = 12.313 Å, c = 7.099 Å
α = 90.00°, β = 109.54°, γ = 90.00°
Space group C2/m (No. 12)
Unique sites:
La: 0.000 0.000 0.000 [2 per cell]
La: 0.000 0.334 0.000 [4 per cell]
Pm: 0.000 0.167 0.500 [4 per cell]
Nd: 0.000 0.500 0.500 [2 per cell]
S: 0.246 0.000 0.742 [4 per cell]
S: 0.248 0.332 0.743 [8 per cell]

Principal peaks in the range 10° ≤ 2θ ≤ 90°, in order of rising 2θ:
2θ = 26.6°, rel. 72, (0 0 2)
2θ = 30.8°, rel. 100, (1 3 1)
2θ = 44.2°, rel. 60, (0 6 0)
2θ = 44.2°, rel. 12, (2 0 2)
2θ = 52.3°, rel. 36, (1 3 3)
2θ = 54.8°, rel. 19, (2 6 -2)
2θ = 64.3°, rel. 12, (2 6 2)
2θ = 70.8°, rel. 7, (2 6 -4)
2θ = 70.9°, rel. 7, (2 0 4)
2θ = 73.0°, rel. 27, (4 6 0)
2θ = 81.2°, rel. 12, (3 9 -1)
2θ = 81.4°, rel. 12, (6 0 -2)